The following is a calculated PXRD pattern of LiMnF4. It was derived from a cell relaxed with GGA+U, using λ = 1.5418 Å (Cu Kα).

Largest 8 diffraction maxima, low angle first, 2θ from 10° to 80°:
(hkl)  Position (°2θ)  Rel. int.
1 1 0  19.36  25
2 0 1  24.14  100
1 1 1  24.89  91
0 0 2  31.27  18
2 0 2  36.53  29
1 1 2  37.05  24
4 1 0  41.27  20
3 1 2  45.91  22

Crystal structure
a = 9.6411 Å, b = 5.2111 Å, c = 5.7205 Å
α = 90.00°, β = 90.00°, γ = 90.00°
Space group Pna2_1 (No. 33)
Inequivalent atoms, fractional coordinates:
Li1 0.0170 0.0069 0.0000 [4 per cell]
Mn1 0.1424 0.4585 0.6376 [4 per cell]
F1 0.0145 0.7187 0.2558 [4 per cell]
F2 0.0565 0.7574 0.7451 [4 per cell]
F3 0.1901 0.1563 0.4909 [4 per cell]
F4 0.2108 0.1322 0.0041 [4 per cell]